# 1
Diffraction record for CeH3CSO7. The powder X-ray diffraction pattern is calculated, not measured: it uses a crystal structure in the Materials Project, relaxed with GGA-PBE and Cu Kα X-rays.

Cell: 7.0673 7.0673 12.0396 Å, 90.00 90.00 90.00°
Element x y z (fractional)
Ce 0.1075 0.6344 0.0000
Ce 0.3656 0.1075 0.2500
Ce 0.6344 0.8925 0.7500
Ce 0.8925 0.3656 0.5000
H 0.0238 0.1505 0.9575
H 0.1505 0.9762 0.7075
H 0.1853 0.4131 0.7769
H 0.3851 0.4545 0.8279
H 0.4131 0.8147 0.5269
H 0.4545 0.6149 0.5779
H 0.5455 0.3851 0.0779
H 0.5869 0.1853 0.0269
H 0.6149 0.5455 0.3279
H 0.8147 0.5869 0.2769
H 0.8495 0.0238 0.2075
H 0.9762 0.8495 0.4575
C 0.1061 0.1443 0.0353
C 0.1443 0.8939 0.7853
C 0.8557 0.1061 0.2853
C 0.8939 0.8557 0.5353
S 0.2412 0.6108 0.3044
S 0.3892 0.2412 0.5544
S 0.6108 0.7588 0.0544
S 0.7588 0.3892 0.8044
O 0.0165 0.1547 0.3241
O 0.1199 0.5472 0.3971
O 0.1235 0.6471 0.2046
O 0.1480 0.2983 0.0842
O 0.1547 0.9835 0.0741
O 0.2121 0.3383 0.5888
O 0.2512 0.4334 0.8475
O 0.2983 0.8520 0.8342
O 0.3383 0.7879 0.3388
O 0.3529 0.1235 0.4546
O 0.3857 0.4605 0.2804
O 0.4334 0.7488 0.5975
O 0.4528 0.1199 0.6471
O 0.4605 0.6143 0.0304
O 0.5395 0.3857 0.5304
O 0.5472 0.8801 0.1471
O 0.5666 0.2512 0.0975
O 0.6143 0.5395 0.7804
O 0.6471 0.8765 0.9546
O 0.6617 0.2121 0.8388
O 0.7017 0.1480 0.3342
O 0.7488 0.5666 0.3475
O 0.7879 0.6617 0.0888
O 0.8453 0.0165 0.5741
O 0.8520 0.7017 0.5842
O 0.8765 0.3529 0.7046
O 0.8801 0.4528 0.8971
O 0.9835 0.8453 0.8241

Principal peaks in the range 10° ≤ 2θ ≤ 90°, low angle first:
14.5°, rel. 100.0, hkl 1 0 1; 19.4°, rel. 70.1, hkl 1 0 2; 25.5°, rel. 29.5, hkl 1 0 3; 26.3°, rel. 71.5, hkl 2 0 1; 28.2°, rel. 37.1, hkl 2 1 0; 29.2°, rel. 36.4, hkl 1 2 1; 33.8°, rel. 41.3, hkl 2 0 3; 41.4°, rel. 38.6, hkl 1 2 4



# 2
Diffraction record for K3NaCeC3O15. The powder X-ray diffraction pattern is calculated, not measured: it uses a crystal structure in the Materials Project, relaxed with GGA-PBE and Cu Kα X-rays.

Cell: 8.2934 9.6755 10.3603 Å, 99.50 99.04 109.23°
Element x y z (fractional)
K 0.1024 0.4948 0.3493
K 0.2235 0.2762 0.0211
K 0.3274 0.1703 0.5939
K 0.6726 0.8297 0.4061
K 0.7765 0.7238 0.9789
K 0.8976 0.5052 0.6507
Na 0.2637 0.8898 0.2631
Na 0.7363 0.1102 0.7369
Ce 0.3205 0.8561 0.8395
Ce 0.6795 0.1439 0.1605
C 0.0182 0.9281 0.7695
C 0.3183 0.5548 0.8417
C 0.3234 0.8089 0.5629
C 0.6766 0.1911 0.4371
C 0.6817 0.4452 0.1583
C 0.9818 0.0719 0.2305
O 0.0129 0.8074 0.8161
O 0.0277 0.6349 0.1249
O 0.1171 0.0498 0.2802
O 0.1324 0.3474 0.5751
O 0.1789 0.0232 0.7801
O 0.1798 0.5848 0.8611
O 0.2010 0.7205 0.6098
O 0.3173 0.4203 0.8251
O 0.3250 0.7881 0.4394
O 0.3571 0.0007 0.0646
O 0.4218 0.5699 0.2094
O 0.4312 0.8915 0.0790
O 0.4449 0.9213 0.6548
O 0.4489 0.4366 0.4671
O 0.4532 0.6699 0.8401
O 0.5468 0.3301 0.1599
O 0.5511 0.5634 0.5329
O 0.5551 0.0787 0.3452
O 0.5688 0.1085 0.9210
O 0.5782 0.4301 0.7906
O 0.6429 0.9993 0.9354
O 0.6750 0.2119 0.5606
O 0.6827 0.5797 0.1749
O 0.7990 0.2795 0.3902
O 0.8202 0.4152 0.1389
O 0.8211 0.9768 0.2199
O 0.8676 0.6526 0.4249
O 0.8829 0.9502 0.7198
O 0.9723 0.3651 0.8751
O 0.9871 0.1926 0.1839

Principal peaks in the range 10° ≤ 2θ ≤ 90°, low angle first:
11.7°, rel. 92.6, hkl 0 1 -1; 12.2°, rel. 100.0, hkl 1 -1 0; 12.9°, rel. 83.6, hkl 1 0 -1; 20.2°, rel. 34.7, hkl 1 -2 1; 21.5°, rel. 49.1, hkl 1 1 -2; 22.4°, rel. 56.4, hkl 0 1 2; 24.6°, rel. 35.9, hkl 2 -2 0; 26.9°, rel. 35.1, hkl 2 0 1



# 3
Diffraction record for K2CePCO7. The powder X-ray diffraction pattern is calculated, not measured: it uses a crystal structure in the Materials Project, relaxed with GGA-PBE and Cu Kα X-rays.

Cell: 5.8120 7.3927 10.0952 Å, 90.00 92.45 90.00°
Element x y z (fractional)
K 0.2428 0.0095 0.2164
K 0.2428 0.4905 0.2164
K 0.7572 0.5095 0.7836
K 0.7572 0.9905 0.7836
Ce 0.2226 0.2500 0.6263
Ce 0.7774 0.7500 0.3737
P 0.2916 0.7500 0.5743
P 0.7084 0.2500 0.4257
C 0.2715 0.2500 0.9117
C 0.7285 0.7500 0.0883
O 0.0671 0.2500 0.8498
O 0.1832 0.7500 0.4288
O 0.2152 0.5762 0.6467
O 0.2152 0.9238 0.6467
O 0.2988 0.2500 0.0359
O 0.4393 0.2500 0.4334
O 0.4477 0.2500 0.8321
O 0.5523 0.7500 0.1679
O 0.5607 0.7500 0.5666
O 0.7012 0.7500 0.9641
O 0.7848 0.0762 0.3533
O 0.7848 0.4238 0.3533
O 0.8168 0.2500 0.5712
O 0.9329 0.7500 0.1502

Principal peaks in the range 10° ≤ 2θ ≤ 90°, low angle first:
14.9°, rel. 100.0, hkl 0 1 1; 19.4°, rel. 88.1, hkl 1 1 0; 22.9°, rel. 58.7, hkl 1 0 -2; 23.9°, rel. 78.5, hkl 1 0 2; 24.1°, rel. 46.7, hkl 0 2 0; 29.8°, rel. 64.2, hkl 1 2 -1; 30.2°, rel. 79.7, hkl 1 2 1; 30.8°, rel. 63.6, hkl 2 0 0



# 4
Diffraction record for LaCeC4. The powder X-ray diffraction pattern is calculated, not measured: it uses a crystal structure in the Materials Project, relaxed with GGA-PBE and Cu Kα X-rays.

Cell: 5.4865 6.4627 5.4871 Å, 90.00 90.00 90.00°
Element x y z (fractional)
La 0.0000 0.0000 0.0000
La 0.5000 0.5000 0.0000
Ce 0.0000 0.5000 0.5000
Ce 0.5000 0.0000 0.5000
C 0.0000 0.1015 0.5000
C 0.0000 0.3997 0.0000
C 0.0000 0.6003 0.0000
C 0.0000 0.8985 0.5000
C 0.5000 0.1003 0.0000
C 0.5000 0.3985 0.5000
C 0.5000 0.6015 0.5000
C 0.5000 0.8997 0.0000

Principal peaks in the range 10° ≤ 2θ ≤ 90°, low angle first:
26.8°, rel. 100.0, hkl 1 1 1; 27.6°, rel. 34.5, hkl 0 2 0; 32.6°, rel. 54.2, hkl 2 0 0; 43.3°, rel. 40.1, hkl 2 2 0; 48.3°, rel. 29.1, hkl 1 3 1; 54.8°, rel. 30.0, hkl 3 1 1; 55.2°, rel. 19.3, hkl 2 2 2; 69.6°, rel. 19.2, hkl 3 3 1